For Mn2CuAu8, a structure optimized by DFT (GGA-PBE) gives the calculated PXRD pattern in this record (Cu Kα, 1.54184 Å).
No peak broadening, texture or thermal motion is included.

Cell and atoms:
```
data_Mn2CuAu8
_cell_length_a 6.8952
_cell_length_b 6.8952
_cell_length_c 4.3085
_cell_angle_alpha 90.00
_cell_angle_beta 90.00
_cell_angle_gamma 105.84
_symmetry_space_group_name_H-M 'P 1'
_symmetry_Int_Tables_number 1
_symmetry_space_group_name_Hall 'P 1'
loop_
_atom_site_label
_atom_site_fract_x
_atom_site_fract_y
_atom_site_fract_z
Mn1 0.1268 0.8732 0.0000
Mn2 0.8732 0.1268 0.0000
Cu1 0.5000 0.5000 0.5000
Au1 0.1680 0.1680 0.5000
Au2 0.1960 0.4574 0.0000
Au3 0.2616 0.7384 0.5000
Au4 0.4574 0.1960 0.0000
Au5 0.5426 0.8040 0.0000
Au6 0.7384 0.2616 0.5000
Au7 0.8040 0.5426 0.0000
Au8 0.8320 0.8320 0.5000
```

Most intense lines, 2θ from 5° to 70°, in order of rising 2θ:
24.64 deg, 3.613 Å, I 15
26.57 deg, 3.355 Å, I 15
26.88 deg, 3.317 Å, I 21
29.87 deg, 2.992 Å, I 24
34.12 deg, 2.628 Å, I 29
38.84 deg, 2.318 Å, I 100
39.52 deg, 2.280 Å, I 77
40.81 deg, 2.211 Å, I 33
41.94 deg, 2.154 Å, I 42
53.15 deg, 1.723 Å, I 17
59.95 deg, 1.543 Å, I 21
69.90 deg, 1.346 Å, I 15

---

For Ac6Ir4Pd, a structure optimized by DFT (GGA-PBE) gives the calculated PXRD pattern in this record (Cu Kα, 1.54184 Å).
No peak broadening, texture or thermal motion is included.

Cell and atoms:
```
data_Ac6Ir4Pd
_cell_length_a 6.0654
_cell_length_b 6.0654
_cell_length_c 9.6115
_cell_angle_alpha 108.38
_cell_angle_beta 108.38
_cell_angle_gamma 89.82
_symmetry_space_group_name_H-M 'P 1'
_symmetry_Int_Tables_number 1
_symmetry_space_group_name_Hall 'P 1'
loop_
_atom_site_label
_atom_site_fract_x
_atom_site_fract_y
_atom_site_fract_z
Ac1 0.0000 0.0000 0.0000
Ac2 0.3585 0.8779 0.7148
Ac3 0.4399 0.9395 0.3574
Ac4 0.5196 0.5196 0.9994
Ac5 0.8779 0.3585 0.7148
Ac6 0.9395 0.4399 0.3574
Ir1 0.0645 0.5372 0.0813
Ir2 0.3403 0.3403 0.6329
Ir3 0.5372 0.0645 0.0813
Ir4 0.8148 0.8148 0.6333
Pd1 0.4392 0.4392 0.3570
```

Most intense lines, 2θ from 5° to 70°, in order of rising 2θ:
29.40 deg, 3.038 Å, I 39
29.45 deg, 3.033 Å, I 45
31.22 deg, 2.865 Å, I 100
31.29 deg, 2.859 Å, I 50
36.24 deg, 2.479 Å, I 96
37.72 deg, 2.385 Å, I 50
42.07 deg, 2.148 Å, I 36
42.21 deg, 2.141 Å, I 35
53.37 deg, 1.717 Å, I 33
57.71 deg, 1.597 Å, I 32
57.86 deg, 1.594 Å, I 21
61.11 deg, 1.516 Å, I 24